Entry 1:
Starting from a structure optimized by DFT (PBE), the powder diffraction line list of LiCu2PO4 was simulated for Cu Kα (λ = 1.5418 Å).

Most intense lines, 10 to 90 degrees two-theta, in order of rising 2θ:
d_spacing  two_theta  intensity  index
6.261  14.1  89  0 1 0
5.566  15.9  40  1 0 0
2.783  32.2  42  2 0 0
2.753  32.5  53  1 2 0
2.705  33.1  31  1 -2 0
2.561  35.0  100  0 0 4
2.457  36.6  34  2 0 2
2.445  36.8  36  1 2 2
2.402  37.4  48  -1 2 2
2.384  37.7  35  1 -2 2

Cell and atoms:
Cell: 5.567 6.263 10.247 Å, 89.04 89.33 88.82°
Fractional positions:
Li 0.000 0.000 0.000
Li 0.007 0.991 0.499
Li 0.180 0.240 0.254
Li 0.537 0.240 0.503
Cu 0.194 0.267 0.738
Cu 0.221 0.711 0.739
Cu 0.223 0.725 0.247
Cu 0.499 0.694 0.021
Cu 0.507 0.275 0.005
Cu 0.508 0.700 0.525
Cu 0.603 0.503 0.761
Cu 0.604 0.500 0.260
P 0.031 0.484 0.489
P 0.032 0.494 0.000
P 0.695 0.005 0.252
P 0.703 0.997 0.749
O 0.023 0.491 0.849
O 0.033 0.488 0.338
O 0.146 0.696 0.539
O 0.147 0.708 0.044
O 0.157 0.289 0.057
O 0.175 0.280 0.537
O 0.543 0.199 0.305
O 0.561 0.200 0.799
O 0.561 0.805 0.809
O 0.563 0.805 0.310
O 0.692 0.004 0.100
O 0.697 0.994 0.598
O 0.768 0.472 0.543
O 0.770 0.496 0.056
O 0.956 0.006 0.304
O 0.963 0.993 0.802



Entry 2:
Starting from a structure optimized by DFT (PBE), the powder diffraction line list of LiCu5P2O8 was simulated for Cu Kα (λ = 1.5418 Å).

Most intense lines, 10 to 90 degrees two-theta, in order of rising 2θ:
d_spacing  two_theta  intensity  index
2.783  32.2  41  2 0 0
2.727  32.8  41  1 2 0
2.711  33.0  31  1 -2 0
2.604  34.4  87  0 0 4
2.466  36.4  32  2 0 2
2.444  36.8  26  2 0 -2
2.425  37.1  33  1 2 2
2.406  37.4  100  -1 2 2
1.876  48.5  20  1 2 -4
1.558  59.3  22  0 4 0

Cell and atoms:
Cell: 5.567 6.232 10.418 Å, 89.78 89.38 89.61°
Fractional positions:
Li 0.000 0.000 0.000
Li 0.480 0.745 0.999
Cu 0.099 0.253 0.248
Cu 0.104 0.241 0.748
Cu 0.556 0.745 0.502
Cu 0.675 0.004 0.239
Cu 0.675 0.511 0.745
Cu 0.684 0.987 0.740
Cu 0.687 0.482 0.240
Cu 0.979 0.463 0.012
Cu 0.980 0.989 0.499
Cu 0.981 0.498 0.498
P 0.162 0.746 0.753
P 0.169 0.751 0.239
P 0.488 0.247 0.492
P 0.501 0.239 0.991
O 0.024 0.542 0.803
O 0.024 0.944 0.812
O 0.031 0.952 0.293
O 0.033 0.552 0.297
O 0.159 0.750 0.091
O 0.168 0.753 0.605
O 0.229 0.249 0.548
O 0.238 0.232 0.043
O 0.418 0.743 0.811
O 0.430 0.748 0.289
O 0.490 0.247 0.344
O 0.503 0.242 0.842
O 0.620 0.453 0.041
O 0.623 0.044 0.545
O 0.627 0.446 0.545
O 0.642 0.037 0.040